No. 1
Structure and simulated XRD peak list of Li2Tb3Cu9 (a DFT-relaxed cell (PBE, Alexandria); Cu Kα X-rays).

Largest 12 diffraction maxima, in order of falling intensity, 2θ from 5° to 70°:
2θ/deg  I_rel
36.7  100.0
37.8  93.6
35.4  72.8
30.0  64.7
42.6  60.1
37.2  46.2
56.6  36.3
14.1  28.1
38.0  26.2
40.6  25.1
47.9  20.5
22.1  19.5

```
Li2Tb3Cu9
1.0
-2.122 4.307 6.269
2.122 -4.307 6.269
2.122 4.307 -6.269
Li Tb Cu
2 3 9
Cartesian
0.000 1.668 0.000
0.000 6.947 0.000
0.000 0.000 2.619
0.000 0.000 6.269
0.000 0.000 9.920
2.122 0.000 0.000
2.122 1.844 -1.627
2.122 -1.251 4.177
2.122 1.844 1.627
2.122 1.251 4.177
0.000 3.056 2.092
0.000 2.464 4.643
0.000 5.558 2.092
0.000 2.464 7.896
```

No. 2
Structure and simulated XRD peak list of PmEr2Rh2 (a DFT-relaxed cell (PBE, Alexandria); Cu Kα X-rays).

Largest 12 diffraction maxima, in order of falling intensity, 2θ from 5° to 70°:
2θ/deg  I_rel
31.0  100.0
38.7  61.4
38.4  37.3
44.5  24.6
60.2  20.1
36.1  18.5
41.1  17.9
28.8  17.7
33.5  16.8
64.9  12.1
53.7  11.9
69.7  10.8

```
PmEr2Rh2
1.0
2.034 -12.433 0.000
2.034 12.433 0.000
0.000 0.000 4.687
Pm Er Rh
2 4 4
Cartesian
2.034 9.056 3.516
2.034 -9.056 1.172
2.034 6.211 1.172
2.034 1.322 3.516
2.034 -1.322 1.172
2.034 -6.211 3.516
2.034 11.687 3.516
2.034 4.379 3.516
2.034 -4.379 1.172
2.034 -11.687 1.172
```

Please write out number 1 again, unchanged.
Structure and simulated XRD peak list of Li2Tb3Cu9 (a DFT-relaxed cell (PBE, Alexandria); Cu Kα X-rays).

Largest 12 diffraction maxima, in order of falling intensity, 2θ from 5° to 70°:
2θ/deg  I_rel
36.7  100.0
37.8  93.6
35.4  72.8
30.0  64.7
42.6  60.1
37.2  46.2
56.6  36.3
14.1  28.1
38.0  26.2
40.6  25.1
47.9  20.5
22.1  19.5

```
Li2Tb3Cu9
1.0
-2.122 4.307 6.269
2.122 -4.307 6.269
2.122 4.307 -6.269
Li Tb Cu
2 3 9
Cartesian
0.000 1.668 0.000
0.000 6.947 0.000
0.000 0.000 2.619
0.000 0.000 6.269
0.000 0.000 9.920
2.122 0.000 0.000
2.122 1.844 -1.627
2.122 -1.251 4.177
2.122 1.844 1.627
2.122 1.251 4.177
0.000 3.056 2.092
0.000 2.464 4.643
0.000 5.558 2.092
0.000 2.464 7.896
```